Simulated X-ray diffraction stick pattern
Compound: Li2VCrP4O14
Radiation: CuKα
Structure: a GGA+U-relaxed structure
Neutral-atom scattering factors, no anomalous dispersion.

Main lines, most intense first (2θ from 10° to 80°):
2theta	Rel. int.	index
17.1	100	0 1 1
22.4	48	1 1 1
28.9	31	-1 1 1
29.2	29	1 1 2
29.4	28	1 1 -2
29.7	28	1 2 1
26.7	24	1 -1 0
22.0	21	1 0 -1
25.4	18	0 1 -2
39.6	12	-1 2 1

Cell and atoms:
Cell lengths 4.8793, 7.0236, 8.2370 Å; angles 89.76, 89.79, 71.43 degrees
Sites, in units of the cell vectors:
Li  0.0000  0.0000  0.0000
Li  0.3579  0.6522  0.4996
V  0.9640  0.0560  0.6376
Cr  0.3938  0.5986  0.1379
P  0.3956  0.2401  0.4191
P  0.5797  0.8013  0.8191
P  0.7807  0.8469  0.3177
P  0.9668  0.4122  0.9250
O  0.0454  0.2108  0.8368
O  0.1310  0.1785  0.4601
O  0.2325  0.4720  0.9637
O  0.3152  0.4417  0.3298
O  0.3651  0.8426  0.6776
O  0.4271  0.8150  0.9843
O  0.5773  0.7198  0.3165
O  0.5785  0.2444  0.5694
O  0.5874  0.0788  0.2888
O  0.7765  0.5720  0.7911
O  0.7781  0.4120  0.0742
O  0.7792  0.9317  0.8173
O  0.9318  0.8324  0.4823
O  0.9945  0.8071  0.1754